1.
Structure and calculated XRD peak list of LiAc2Al9 (a cell relaxed with PBE; Cu Kα (λ = 1.5418 Å)).

```
LiAc2Al9
1.0
2.943 1.699 8.863
-2.943 1.699 8.863
0.000 -3.398 8.863
Li Ac Al
1 2 9
Direct
0.000 0.000 0.000
0.139 0.139 0.139
0.861 0.861 0.861
0.071 0.585 0.585
0.335 0.335 0.335
0.415 0.415 0.929
0.415 0.929 0.415
0.500 0.500 0.500
0.585 0.071 0.585
0.585 0.585 0.071
0.665 0.665 0.665
0.929 0.415 0.415
```

Most intense lines, 2θ = 10–90°, low angle first:
2θ/deg, I_rel
21.97, 100
29.32, 64
30.37, 71
32.04, 69
36.66, 52
37.80, 41

***

2.
Structure and calculated XRD peak list of Li2Ac2Al3 (a cell relaxed with PBE; Cu Kα (λ = 1.5418 Å)).

```
Li2Ac2Al3
1.0
5.543 -2.433 0.000
5.543 2.433 0.000
-2.586 0.000 6.514
Li Ac Al
2 2 3
Direct
0.142 0.142 0.261
0.858 0.858 0.739
0.156 0.156 0.763
0.844 0.844 0.237
0.412 0.412 0.589
0.500 0.500 0.000
0.588 0.588 0.411
```

Most intense lines, 2θ = 10–90°, low angle first:
2θ/deg, I_rel
17.57, 100
22.53, 94
26.16, 92
27.38, 39
31.89, 74
35.37, 52

***

3.
Structure and calculated XRD peak list of LiAc6Al (a cell relaxed with PBE; Cu Kα (λ = 1.5418 Å)).

```
LiAc6Al
1.0
-2.822 2.822 9.622
2.822 -2.822 9.622
2.822 2.822 -9.622
Li Ac Al
1 6 1
Direct
0.000 0.000 0.000
0.104 0.604 0.500
0.251 0.251 0.000
0.396 0.896 0.500
0.604 0.104 0.500
0.749 0.749 0.000
0.896 0.396 0.500
0.500 0.500 0.000
```

Most intense lines, 2θ = 10–90°, low angle first:
2θ/deg, I_rel
24.14, 43
29.07, 100
31.70, 49
42.67, 26
52.81, 21
54.86, 35

***

4.
Structure and calculated XRD peak list of LiAc3Al2Pd9 (a cell relaxed with PBE; Cu Kα (λ = 1.5418 Å)).

```
LiAc3Al2Pd9
1.0
7.019 0.000 0.000
-3.510 6.079 0.000
0.000 0.000 7.306
Li Ac Al Pd
1 3 2 9
Direct
0.000 0.000 0.000
0.000 0.000 0.500
0.333 0.667 0.164
0.667 0.333 0.836
0.333 0.667 0.684
0.667 0.333 0.316
0.000 0.500 0.500
0.158 0.317 0.833
0.158 0.842 0.833
0.317 0.158 0.167
0.500 0.000 0.500
0.500 0.500 0.500
0.683 0.842 0.833
0.842 0.158 0.167
0.842 0.683 0.167
```

Most intense lines, 2θ = 10–90°, low angle first:
2θ/deg, I_rel
31.89, 100
36.91, 23
38.53, 69
52.12, 28
59.00, 20
65.57, 25

***

5.
Structure and calculated XRD peak list of LiAc2AlPt2 (a cell relaxed with PBE; Cu Kα (λ = 1.5418 Å)).

```
LiAc2AlPt2
1.0
-2.947 8.147 3.043
2.947 -8.147 3.043
2.947 8.147 -3.043
Li Ac Al Pt
2 4 2 4
Direct
0.250 0.250 0.000
0.750 0.750 0.000
0.164 0.233 0.396
0.336 0.733 0.069
0.664 0.267 0.931
0.836 0.767 0.604
0.250 0.750 0.500
0.750 0.250 0.500
0.103 0.724 0.828
0.397 0.224 0.621
0.603 0.776 0.379
0.897 0.276 0.172
```

Most intense lines, 2θ = 10–90°, low angle first:
2θ/deg, I_rel
21.82, 54
29.35, 55
30.33, 47
30.45, 100
42.71, 44
49.67, 47

***

6.
Structure and calculated XRD peak list of Li2AcAlS4 (a cell relaxed with PBE; Cu Kα (λ = 1.5418 Å)).

```
Li2AcAlS4
1.0
5.855 -5.364 0.000
5.855 5.364 0.000
-4.385 0.000 5.904
Li Ac Al S
4 2 2 8
Direct
0.042 0.958 0.500
0.261 0.661 0.549
0.661 0.261 0.049
0.958 0.042 0.000
0.477 0.893 0.181
0.893 0.477 0.681
0.351 0.455 0.170
0.455 0.351 0.670
0.105 0.817 0.768
0.169 0.689 0.207
0.260 0.274 0.787
0.274 0.260 0.287
0.575 0.647 0.805
0.647 0.575 0.305
0.689 0.169 0.707
0.817 0.105 0.268
```

Most intense lines, 2θ = 10–90°, low angle first:
2θ/deg, I_rel
14.61, 100
23.57, 29
24.34, 41
26.67, 19
30.27, 21
35.76, 20

***

7.
Structure and calculated XRD peak list of LiAcAlTl (a cell relaxed with PBE; Cu Kα (λ = 1.5418 Å)).

```
LiAcAlTl
1.0
0.000 3.815 3.815
3.815 0.000 3.815
3.815 3.815 0.000
Li Ac Al Tl
1 1 1 1
Direct
0.000 0.000 0.000
0.500 0.500 0.500
0.250 0.250 0.250
0.750 0.750 0.750
```

Most intense lines, 2θ = 10–90°, low angle first:
2θ/deg, I_rel
20.16, 84
33.22, 100
39.16, 48
47.68, 19
52.27, 21
59.35, 39

***

8.
Structure and calculated XRD peak list of LiAc2Al4Zn3 (a cell relaxed with PBE; Cu Kα (λ = 1.5418 Å)).

```
LiAc2Al4Zn3
1.0
4.462 0.000 0.000
0.000 4.462 0.000
0.000 0.000 10.924
Li Ac Al Zn
1 2 4 3
Direct
0.000 0.000 0.000
0.000 0.500 0.749
0.500 0.000 0.251
0.000 0.000 0.500
0.000 0.500 0.128
0.500 0.000 0.872
0.500 0.500 0.500
0.000 0.500 0.366
0.500 0.000 0.634
0.500 0.500 0.000
```

Most intense lines, 2θ = 10–90°, low angle first:
2θ/deg, I_rel
21.51, 66
28.28, 49
31.72, 91
32.78, 100
46.26, 57
52.28, 45

***

9.
Structure and calculated XRD peak list of Ac3Mg7Al2 (a cell relaxed with PBE; Cu Kα (λ = 1.5418 Å)).

```
Ac3Mg7Al2
1.0
3.124 1.804 9.797
-3.124 1.804 9.797
0.000 -3.607 9.797
Ac Mg Al
3 7 2
Direct
0.000 0.000 0.000
0.144 0.144 0.144
0.856 0.856 0.856
0.075 0.579 0.579
0.421 0.421 0.925
0.421 0.925 0.421
0.500 0.500 0.500
0.579 0.075 0.579
0.579 0.579 0.075
0.925 0.421 0.421
0.334 0.334 0.334
0.666 0.666 0.666
```

Most intense lines, 2θ = 10–90°, low angle first:
2θ/deg, I_rel
16.66, 100
26.88, 93
28.57, 89
29.39, 45
33.26, 42
34.04, 99

***

10.
Structure and calculated XRD peak list of AcMg2Al6 (a cell relaxed with PBE; Cu Kα (λ = 1.5418 Å)).

```
AcMg2Al6
1.0
8.148 0.000 0.000
-4.074 7.057 0.000
0.000 0.000 3.447
Ac Mg Al
1 2 6
Direct
0.000 0.000 0.000
0.333 0.667 0.000
0.667 0.333 0.000
0.000 0.342 0.500
0.000 0.658 0.500
0.342 0.000 0.500
0.342 0.342 0.500
0.658 0.000 0.500
0.658 0.658 0.500
```

Most intense lines, 2θ = 10–90°, low angle first:
2θ/deg, I_rel
12.54, 100
21.81, 30
25.24, 25
28.82, 34
34.07, 69
38.26, 38

***

11.
Structure and calculated XRD peak list of AcMg9Al3 (a cell relaxed with PBE; Cu Kα (λ = 1.5418 Å)).

```
AcMg9Al3
1.0
2.875 -7.159 0.000
2.875 7.159 0.000
-2.873 0.000 7.209
Ac Mg Al
1 9 3
Direct
0.000 0.000 0.000
0.000 0.000 0.500
0.000 0.356 0.351
0.000 0.644 0.649
0.285 0.505 0.784
0.356 0.000 0.351
0.495 0.715 0.216
0.505 0.285 0.784
0.644 0.000 0.649
0.715 0.495 0.216
0.000 0.500 0.000
0.500 0.000 0.000
0.500 0.500 0.500
```

Most intense lines, 2θ = 10–90°, low angle first:
2θ/deg, I_rel
12.32, 92
17.73, 84
24.92, 68
30.64, 65
35.36, 100
35.90, 66

***

12.
Structure and calculated XRD peak list of Ac3Mg2Al7 (a cell relaxed with PBE; Cu Kα (λ = 1.5418 Å)).

```
Ac3Mg2Al7
1.0
2.965 1.712 9.322
-2.965 1.712 9.322
0.000 -3.424 9.322
Ac Mg Al
3 2 7
Direct
0.000 0.000 0.000
0.141 0.141 0.141
0.859 0.859 0.859
0.335 0.335 0.335
0.665 0.665 0.665
0.080 0.586 0.586
0.414 0.414 0.920
0.414 0.920 0.414
0.500 0.500 0.500
0.586 0.080 0.586
0.586 0.586 0.080
0.920 0.414 0.414
```

Most intense lines, 2θ = 10–90°, low angle first:
2θ/deg, I_rel
17.56, 100
28.30, 88
30.14, 84
30.94, 53
35.09, 41
35.89, 81

***

13.
Structure and calculated XRD peak list of Ac6MgAl (a cell relaxed with PBE; Cu Kα (λ = 1.5418 Å)).

```
Ac6MgAl
1.0
-2.836 2.836 9.675
2.836 -2.836 9.675
2.836 2.836 -9.675
Ac Mg Al
6 1 1
Direct
0.104 0.604 0.500
0.250 0.250 0.000
0.396 0.896 0.500
0.604 0.104 0.500
0.750 0.750 0.000
0.896 0.396 0.500
0.000 0.000 0.000
0.500 0.500 0.000
```

Most intense lines, 2θ = 10–90°, low angle first:
2θ/deg, I_rel
24.02, 37
28.92, 100
31.54, 48
42.44, 23
52.51, 19
54.56, 35